(1)
# TePd15Pb4
Theoretical powder X-ray diffraction pattern, Cu Ka. Input: a structure optimized by DFT (GGA-PBE).

Crystal structure
```
data_TePd15Pb4
_cell_length_a 4.1146
_cell_length_b 4.1146
_cell_length_c 20.4531
_cell_angle_alpha 90.00
_cell_angle_beta 90.00
_cell_angle_gamma 90.00
_space_group_name_H-M_alt 'P 4/m m m'
_space_group_IT_number 123
_space_group_name_Hall '-P 4 2'
loop_
_atom_site_label
_atom_site_fract_x
_atom_site_fract_y
_atom_site_fract_z
Te1 0.0000 0.0000 0.0000
Pd1 0.0000 0.5000 0.0985
Pd2 0.0000 0.5000 0.2991
Pd3 0.0000 0.5000 0.5000
Pd4 0.5000 0.5000 0.0000
Pd5 0.5000 0.5000 0.1980
Pd6 0.5000 0.5000 0.3992
Pb1 0.0000 0.0000 0.1999
Pb2 0.0000 0.0000 0.4000
```

Peak list (10 most intense, 5° ≤ 2θ ≤ 70°, sorted by position)
4.115 Å, I 5, (1 0 0); 4.091 Å, I 2, (0 0 5); 2.904 Å, I 6, (1 0 5); 2.371 Å, I 100, (1 1 5); 2.057 Å, I 33, (2 0 0); 2.045 Å, I 16, (0 0 10); 1.839 Å, I 2, (2 1 0); 1.678 Å, I 2, (2 1 5); 1.455 Å, I 11, (2 2 0); 1.450 Å, I 21, (2 0 10)

---

(2)
# ThPd2Pb2
Theoretical powder X-ray diffraction pattern, Cu Ka. Input: a structure optimized by DFT (GGA-PBE).

Crystal structure
```
data_ThPd2Pb2
_cell_length_a 4.9084
_cell_length_b 4.9706
_cell_length_c 10.2767
_cell_angle_alpha 90.00
_cell_angle_beta 90.00
_cell_angle_gamma 90.00
_space_group_name_H-M_alt 'P m m n'
_space_group_IT_number 59
loop_
_space_group_symop_operation_xyz
'x,y,z'
'-x,-y,-z'
'-x+1/2,-y+1/2,z'
'x+1/2,y+1/2,-z'
'x+1/2,-y,-z'
'-x+1/2,y,z'
'-x,y+1/2,-z'
'x,-y+1/2,z'
loop_
_atom_site_label
_atom_site_fract_x
_atom_site_fract_y
_atom_site_fract_z
Th1 0.2500 0.2500 0.1774
Pd1 0.2500 0.7500 0.3303
Pd2 0.2500 0.7500 0.9795
Pb1 0.2500 0.2500 0.5138
Pb2 0.2500 0.2500 0.8345
```

Peak list (10 most intense, 5° ≤ 2θ ≤ 70°, sorted by position)
3.493 Å, I 31, (1 1 0); 3.426 Å, I 15, (0 0 3); 2.485 Å, I 27, (0 2 0); 2.454 Å, I 26, (2 0 0); 2.446 Å, I 100, (1 1 3); 1.746 Å, I 19, (2 2 0); 1.555 Å, I 10, (3 1 0); 1.427 Å, I 19, (1 3 3); 1.415 Å, I 18, (3 1 3); 1.410 Å, I 8, (0 2 6)

---

(3)
# Th4PdPb
Theoretical powder X-ray diffraction pattern, Cu Ka. Input: a structure optimized by DFT (GGA-PBE).

Crystal structure
```
data_Th4PdPb
_cell_length_a 7.5085
_cell_length_b 7.5085
_cell_length_c 12.7018
_cell_angle_alpha 90.00
_cell_angle_beta 90.00
_cell_angle_gamma 90.00
_space_group_name_H-M_alt 'I 4/m c m'
_space_group_IT_number 140
_space_group_name_Hall '-I 4 2c'
loop_
_atom_site_label
_atom_site_fract_x
_atom_site_fract_y
_atom_site_fract_z
Th1 0.1544 0.3456 0.1390
Pd1 0.0000 0.0000 0.2500
Pb1 0.0000 0.0000 0.0000
```

Peak list (10 most intense, 5° ≤ 2θ ≤ 70°, sorted by position)
3.246 Å, I 95, (2 1 1); 3.175 Å, I 16, (0 0 4); 2.725 Å, I 52, (1 1 4); 2.631 Å, I 100, (2 1 3); 2.424 Å, I 43, (2 0 4); 2.374 Å, I 69, (3 1 0); 1.673 Å, I 14, (4 1 3); 1.616 Å, I 29, (4 0 4); 1.596 Å, I 30, (2 1 7); 1.546 Å, I 35, (3 3 4)

---

(4)
# Th2Pd8Pb
Theoretical powder X-ray diffraction pattern, Cu Ka. Input: a structure optimized by DFT (GGA-PBE).

Crystal structure
```
data_Th2Pd8Pb
_cell_length_a 5.2052
_cell_length_b 5.8431
_cell_length_c 7.6804
_cell_angle_alpha 112.19
_cell_angle_beta 92.54
_cell_angle_gamma 90.05
_space_group_name_H-M_alt 'P -1'
_space_group_IT_number 2
loop_
_space_group_symop_operation_xyz
'x,y,z'
'-x,-y,-z'
loop_
_atom_site_label
_atom_site_fract_x
_atom_site_fract_y
_atom_site_fract_z
Th1 0.1903 0.3419 0.1852
Pd1 0.0003 0.2425 0.5002
Pd2 0.1719 0.8269 0.1545
Pd3 0.3211 0.4147 0.8335
Pd4 0.3210 0.9202 0.8332
Pb1 0.5000 0.0000 0.5000
```

Peak list (10 most intense, 5° ≤ 2θ ≤ 70°, sorted by position)
3.713 Å, I 23, (1 1 0); 3.679 Å, I 24, (0 1 1); 2.416 Å, I 100, (1 2 -2); 2.404 Å, I 47, (2 0 1); 2.368 Å, I 45, (0 0 3); 2.148 Å, I 35, (2 0 -2); 2.049 Å, I 30, (1 2 1); 2.045 Å, I 29, (1 -2 3); 1.491 Å, I 21, (3 2 -1); 1.471 Å, I 11, (1 2 -5)

---

(5)
# TlPd4Pb
Theoretical powder X-ray diffraction pattern, Cu Ka. Input: a structure optimized by DFT (GGA-PBE).

Crystal structure
```
data_TlPd4Pb
_cell_length_a 5.0856
_cell_length_b 8.6162
_cell_length_c 5.0901
_cell_angle_alpha 90.00
_cell_angle_beta 101.40
_cell_angle_gamma 90.00
_space_group_name_H-M_alt 'P 1 21/c 1'
_space_group_IT_number 14
loop_
_space_group_symop_operation_xyz
'x,y,z'
'-x,-y,-z'
'-x,y+1/2,-z+1/2'
'x,-y+1/2,z+1/2'
loop_
_atom_site_label
_atom_site_fract_x
_atom_site_fract_y
_atom_site_fract_z
Tl1 0.0000 0.0000 0.0000
Pd1 0.0020 0.1685 0.5000
Pd2 0.4965 0.6681 0.4928
Pb1 0.5000 0.0000 0.5000
```

Peak list (10 most intense, 5° ≤ 2θ ≤ 70°, sorted by position)
4.308 Å, I 9, (0 2 0); 3.581 Å, I 13, (1 1 -1); 3.018 Å, I 9, (1 1 1); 2.494 Å, I 100, (2 0 0); 2.320 Å, I 81, (1 3 -1); 2.144 Å, I 65, (1 3 1); 1.969 Å, I 25, (2 0 -2); 1.611 Å, I 13, (2 0 2); 1.450 Å, I 37, (3 3 -1); 1.436 Å, I 9, (0 6 0)

---

(6)
# Tl2Pd5Pb2
Theoretical powder X-ray diffraction pattern, Cu Ka. Input: a structure optimized by DFT (GGA-PBE).

Crystal structure
```
data_Tl2Pd5Pb2
_cell_length_a 3.2331
_cell_length_b 7.1076
_cell_length_c 9.8404
_cell_angle_alpha 98.83
_cell_angle_beta 99.29
_cell_angle_gamma 90.09
_space_group_name_H-M_alt 'P -1'
_space_group_IT_number 2
loop_
_space_group_symop_operation_xyz
'x,y,z'
'-x,-y,-z'
loop_
_atom_site_label
_atom_site_fract_x
_atom_site_fract_y
_atom_site_fract_z
Tl1 0.1616 0.1816 0.3168
Pd1 0.0000 0.0000 0.0000
Pd2 0.0546 0.3969 0.1123
Pd3 0.2983 0.1108 0.5979
Pb1 0.4367 0.2662 0.8707
```

Peak list (10 most intense, 5° ≤ 2θ ≤ 70°, sorted by position)
9.593 Å, I 79, (0 0 1); 7.021 Å, I 47, (0 1 0); 5.287 Å, I 43, (0 1 1); 2.932 Å, I 100, (1 1 -1); 2.875 Å, I 82, (1 1 0); 2.753 Å, I 66, (0 1 3); 2.396 Å, I 69, (1 -2 0); 2.388 Å, I 65, (1 2 -1); 2.246 Å, I 76, (0 3 -2); 2.156 Å, I 78, (1 2 1)

---

(7)
# Tl2Pd3Pb2
Theoretical powder X-ray diffraction pattern, Cu Ka. Input: a structure optimized by DFT (GGA-PBE).

Crystal structure
```
data_Tl2Pd3Pb2
_cell_length_a 3.7381
_cell_length_b 6.3779
_cell_length_c 7.3070
_cell_angle_alpha 90.69
_cell_angle_beta 104.59
_cell_angle_gamma 90.05
_space_group_name_H-M_alt 'P -1'
_space_group_IT_number 2
loop_
_space_group_symop_operation_xyz
'x,y,z'
'-x,-y,-z'
loop_
_atom_site_label
_atom_site_fract_x
_atom_site_fract_y
_atom_site_fract_z
Tl1 0.1008 0.1188 0.1952
Pd1 0.0000 0.5000 0.0000
Pd2 0.2465 0.8317 0.4946
Pb1 0.3505 0.4220 0.7008
```

Peak list (10 most intense, 5° ≤ 2θ ≤ 70°, sorted by position)
3.148 Å, I 66, (1 -1 0); 2.921 Å, I 100, (0 2 -1); 2.893 Å, I 31, (0 2 1); 2.657 Å, I 97, (1 1 1); 2.650 Å, I 95, (-1 1 2); 2.220 Å, I 34, (0 1 -3); 2.163 Å, I 30, (1 2 -2); 2.128 Å, I 44, (1 1 -3); 1.869 Å, I 41, (2 0 -1); 1.830 Å, I 43, (1 3 0)

---

(8)
# Tl3Pd7Pb
Theoretical powder X-ray diffraction pattern, Cu Ka. Input: a structure optimized by DFT (GGA-PBE).

Crystal structure
```
data_Tl3Pd7Pb
_cell_length_a 8.8720
_cell_length_b 9.7499
_cell_length_c 5.5794
_cell_angle_alpha 90.00
_cell_angle_beta 113.73
_cell_angle_gamma 90.00
_space_group_name_H-M_alt 'C 1 2/m 1'
_space_group_IT_number 12
loop_
_space_group_symop_operation_xyz
'x,y,z'
'-x,-y,-z'
'-x,y,-z'
'x,-y,z'
'x+1/2,y+1/2,z'
'-x+1/2,-y+1/2,-z'
'-x+1/2,y+1/2,-z'
'x+1/2,-y+1/2,z'
loop_
_atom_site_label
_atom_site_fract_x
_atom_site_fract_y
_atom_site_fract_z
Tl1 0.0000 0.0000 0.0000
Tl2 0.0000 0.2227 0.5000
Pd1 0.0000 0.5000 0.5000
Pd2 0.1725 0.2450 0.1801
Pd3 0.2023 0.0000 0.5352
Pb1 0.0000 0.5000 0.0000
```

Peak list (10 most intense, 5° ≤ 2θ ≤ 70°, sorted by position)
4.065 Å, I 37, (2 0 0); 3.127 Å, I 50, (2 2 -1); 2.708 Å, I 66, (2 0 -2); 2.554 Å, I 26, (0 0 2); 2.438 Å, I 76, (0 4 0); 2.358 Å, I 100, (2 2 1); 2.262 Å, I 19, (0 2 2); 2.019 Å, I 43, (4 2 -1); 1.812 Å, I 35, (2 4 -2); 1.354 Å, I 18, (6 0 0)